The following is a calculated XRD peak list of K3Nd. It was derived from a DFT-relaxed cell (PBE, the Materials Project), using Cu Kα.
Intensities are scaled so that the largest is 100.

The 10 most intense peaks (2θ = 10–80°), most intense first:
(1 1 2), 2θ 25.39, rel. 100.0; (1 0 1), 2θ 16.61, rel. 38.1; (2 0 0), 2θ 30.74, rel. 30.1; (3 1 2), 2θ 51.51, rel. 28.4; (2 0 4), 2θ 41.05, rel. 26.3; (0 0 4), 2θ 26.53, rel. 22.3; (1 1 6), 2θ 46.15, rel. 21.5; (0 0 2), 2θ 13.18, rel. 15.8; (1 0 3), 2θ 25.09, rel. 14.6; (3 1 6), 2θ 65.69, rel. 13.2

Structural model:
Lattice parameters (Å, degrees): 5.816 5.816 13.440 90.00 90.00 90.00
Space group I4/mmm (No. 139)
One atom of each set of equivalent atoms:
K (0.000, 0.000, 0.000)
K (0.000, 0.500, 0.250)
Nd (0.000, 0.000, 0.500)

The following is a calculated XRD peak list of Nb6ZnTe8. It was derived from a DFT-relaxed cell (PBE, the Materials Project), using Cu Kα.
Intensities are scaled so that the largest is 100.

The 10 most intense peaks (2θ = 10–80°), most intense first:
(2 1 1), 2θ 35.28, rel. 100.0; (3 1 0), 2θ 34.59, rel. 74.5; (0 2 1), 2θ 31.01, rel. 65.2; (3 0 0), 2θ 28.64, rel. 44.8; (4 -2 1), 2θ 41.56, rel. 37.3; (3 5 1), 2θ 75.80, rel. 35.2; (3 1 2), 2θ 62.01, rel. 34.3; (3 2 1), 2θ 49.22, rel. 27.3; (1 1 1), 2θ 29.46, rel. 24.8; (4 -1 1), 2θ 42.72, rel. 24.0

Structural model:
Lattice parameters (Å, degrees): 10.7966 10.7966 3.6641 90.00 90.00 120.00
Space group P-3 (No. 147)
One atom of each set of equivalent atoms:
Nb (0.1029, 0.4889, 0.2500)
Zn (0.0000, 0.0000, 0.0000)
Te (0.0638, 0.7284, 0.2501)
Te (0.3333, 0.6667, 0.7502)